Structure and simulated powder X-ray diffraction pattern of TmAgTe2 (a structure optimized by DFT (PBE); Cu Kα).

Largest 10 diffraction maxima, most intense first, 2θ from 10° to 90°:
hkl  d [Å]  2θ (°)  Rel. int.
0 1 1  3.419  26.06  100.0
0 1 2  2.668  33.59  71.5
1 1 0  2.227  40.51  61.2
1 0 3  2.076  43.59  45.9
0 0 1  7.391  11.97  21.2
2 0 2  1.710  53.61  18.8
2 0 1  1.866  48.81  18.0
2 1 3  1.255  75.83  17.5
1 2 2  1.356  69.30  17.2
0 2 3  1.518  61.02  16.7

Structural model:
```
data_TmAgTe2
_cell_length_a 4.4531
_cell_length_b 4.4531
_cell_length_c 7.3912
_cell_angle_alpha 90.00
_cell_angle_beta 90.00
_cell_angle_gamma 120.00
_symmetry_space_group_name_H-M 'P 3 m 1'
_symmetry_Int_Tables_number 156
_symmetry_space_group_name_Hall 'P 3 -2"'
loop_
_atom_site_label
_atom_site_type_symbol
_atom_site_fract_x
_atom_site_fract_y
_atom_site_fract_z
_atom_site_occupancy
Tm1 Tm 0.0000 0.0000 0.0000 1
Ag1 Ag 0.6667 0.3333 0.4094 1
Te1 Te 0.3333 0.6667 0.2416 1
Te2 Te 0.6667 0.3333 0.7840 1
```